No. 1
Theoretical PXRD pattern
Compound: LaMg4AlCu2
Radiation: copper Kα
Structure: the PBE geometry in OQMD
No peak broadening, texture or thermal motion is included.

Atomic structure:
Cell lengths 7.4113, 4.2607, 14.5520 Å; angles 90.00, 90.00, 90.00 degrees
Space group Amm2 (No. 38)
Unique sites:
La: 0.0000 0.0000 0.0000 x2
Mg: 0.2774 0.0000 0.3390 x4
Mg: 0.3137 0.0000 0.6697 x4
Al: 0.0000 0.0000 0.7917 x2
Cu: 0.0000 0.0000 0.2080 x2
Cu: 0.0000 0.0000 0.6208 x2

Peak list (12 most intense, 15° ≤ 2θ ≤ 90°, by angle)
d/Å, two_theta, intensity, (hkl)
5.192, 17.08, 52, 1 0 2
3.706, 24.01, 48, 2 0 0
3.580, 24.87, 59, 1 1 1
3.201, 27.87, 73, 0 1 3
2.939, 30.42, 31, 1 1 3
2.746, 32.61, 44, 2 1 1
2.470, 36.37, 48, 3 0 0
2.403, 37.42, 37, 0 1 5
2.286, 39.42, 100, 1 1 5
2.130, 42.43, 36, 0 2 0
2.047, 44.25, 36, 1 2 0
2.016, 44.96, 80, 2 1 5

No. 2
Theoretical PXRD pattern
Compound: Al28Ni
Radiation: copper Kα
Structure: the PBE geometry in OQMD
No peak broadening, texture or thermal motion is included.

Atomic structure:
Cell lengths 9.8977, 9.8977, 9.8977 Å; angles 90.00, 90.00, 90.00 degrees
Space group I-43m (No. 217)
Unique sites:
Al: 0.0526 0.3618 0.6382 x24
Al: 0.0944 0.0944 0.7150 x24
Al: 0.1605 0.1605 0.1605 x8
Ni: 0.0000 0.0000 0.0000 x2

Peak list (12 most intense, 15° ≤ 2θ ≤ 90°, by angle)
d/Å, two_theta, intensity, (hkl)
2.645, 33.89, 12, 3 2 1
2.474, 36.31, 12, 4 0 0
2.333, 38.59, 100, 4 1 1
2.110, 42.86, 31, 3 3 2
2.020, 44.86, 14, 4 2 2
1.941, 46.80, 17, 4 3 1
1.400, 66.84, 14, 5 5 0
1.347, 69.83, 21, 7 2 1
1.323, 71.30, 8, 6 4 2
1.300, 72.77, 6, 7 3 0
1.257, 75.66, 7, 6 5 1
1.151, 84.14, 10, 7 4 3

No. 3
Theoretical PXRD pattern
Compound: NdSmSi2Cl2
Radiation: copper Kα
Structure: the PBE geometry in OQMD
No peak broadening, texture or thermal motion is included.

Atomic structure:
Cell lengths 4.0686, 4.0686, 10.8599 Å; angles 90.00, 90.00, 120.00 degrees
Space group P3m1 (No. 156)
Unique sites:
Nd: 0.0000 0.0000 0.0000 x1
Sm: 0.0000 0.0000 0.6325 x1
Si: 0.3333 0.6667 0.8062 x1
Si: 0.6667 0.3333 0.8220 x1
Cl: 0.3333 0.6667 0.1569 x1
Cl: 0.6667 0.3333 0.4793 x1

Peak list (12 most intense, 15° ≤ 2θ ≤ 90°, by angle)
d/Å, two_theta, intensity, (hkl)
5.430, 16.32, 28, 0 0 2
3.523, 25.28, 53, 1 0 0
3.351, 26.60, 27, 0 1 1
2.956, 30.24, 63, 0 1 2
2.525, 35.56, 100, 0 1 3
2.034, 44.54, 40, 1 1 0
1.849, 49.29, 21, 1 0 5
1.676, 54.78, 12, 2 0 2
1.584, 58.24, 23, 2 0 3
1.485, 62.56, 14, 1 1 5
1.352, 69.52, 15, 1 1 6
1.250, 76.17, 21, 1 2 3

No. 4
Theoretical PXRD pattern
Compound: Li4NbPbO6
Radiation: copper Kα
Structure: the PBE geometry in OQMD
No peak broadening, texture or thermal motion is included.

Atomic structure:
Cell lengths 5.4243, 9.4972, 5.1785 Å; angles 90.00, 109.97, 90.00 degrees
Space group C2 (No. 5)
Unique sites:
Li: 0.0000 0.0000 0.0000 x2
Li: 0.0000 0.1384 0.5000 x2
Li: 0.0000 0.4877 0.5000 x2
Li: 0.0000 0.8456 0.5000 x2
Nb: 0.0000 0.3351 0.0000 x2
Pb: 0.0000 0.6681 0.0000 x2
O: 0.2187 0.1849 0.2495 x4
O: 0.2314 0.3484 0.7697 x4
O: 0.2409 0.4860 0.2513 x4

Peak list (12 most intense, 15° ≤ 2θ ≤ 90°, by angle)
d/Å, two_theta, intensity, (hkl)
4.867, 18.23, 100, 0 0 1
4.749, 18.69, 28, 0 2 0
4.492, 19.76, 53, 1 1 0
3.945, 22.54, 41, 1 1 -1
3.399, 26.22, 29, 0 2 1
2.895, 30.88, 20, 1 1 1
2.689, 33.31, 44, 1 3 0
2.663, 33.66, 23, 2 0 -1
2.557, 35.09, 24, 1 3 -1
2.193, 41.17, 50, 1 3 1
2.168, 41.66, 33, 2 0 -2
1.993, 45.51, 27, 1 3 -2

No. 5
Theoretical PXRD pattern
Compound: Y2Lu4Tl3C3
Radiation: copper Kα
Structure: the PBE geometry in OQMD
No peak broadening, texture or thermal motion is included.

Atomic structure:
Cell lengths 10.6794, 6.1680, 16.4103 Å; angles 90.00, 102.50, 90.00 degrees
Space group C2/c (No. 15)
Unique sites:
Y: 0.0535 0.0825 0.4127 x8
Lu: 0.1099 0.4152 0.5797 x8
Lu: 0.2243 0.4174 0.9203 x8
Tl: 0.0000 0.4422 0.2500 x4
Tl: 0.1795 0.0971 0.7495 x8
C: 0.0843 0.2527 0.0000 x8
C: 0.2500 0.2500 0.5000 x4

Peak list (12 most intense, 15° ≤ 2θ ≤ 90°, by angle)
d/Å, two_theta, intensity, (hkl)
5.309, 16.70, 3, 1 1 0
3.083, 28.96, 18, 3 1 -1
2.670, 33.56, 100, 0 0 6
2.018, 44.91, 14, 3 1 5
1.780, 51.32, 17, 6 0 -2
1.542, 60.01, 18, 0 2 9
1.481, 62.72, 27, 6 0 4
1.481, 62.76, 3, 6 0 -8
1.335, 70.54, 6, 0 0 12
1.225, 77.98, 2, 3 1 11
1.165, 82.83, 7, 6 2 7
1.139, 85.22, 9, 3 5 2

No. 6
Theoretical PXRD pattern
Compound: Hg2Pt17
Radiation: copper Kα
Structure: the PBE geometry in OQMD
No peak broadening, texture or thermal motion is included.

Atomic structure:
Cell lengths 10.4429, 9.1553, 6.9457 Å; angles 90.00, 100.05, 90.00 degrees
Space group C2/m (No. 12)
Unique sites:
Hg: 0.1535 0.0000 0.3460 x4
Pt: 0.0000 0.1894 0.0000 x4
Pt: 0.0000 0.5000 0.5000 x2
Pt: 0.0911 0.2464 0.6552 x8
Pt: 0.1068 0.5000 0.8938 x4
Pt: 0.1531 0.0000 0.8396 x4
Pt: 0.1582 0.3431 0.3156 x8
Pt: 0.2500 0.2500 0.0000 x4

Peak list (12 most intense, 15° ≤ 2θ ≤ 90°, by angle)
d/Å, two_theta, intensity, (hkl)
2.643, 33.92, 36, 2 0 2
2.571, 34.89, 20, 2 2 -2
2.289, 39.37, 54, 0 4 0
2.279, 39.54, 100, 4 0 1
2.252, 40.03, 38, 4 0 -2
2.040, 44.40, 82, 4 2 1
2.021, 44.85, 20, 4 2 -2
1.605, 57.40, 14, 4 4 -2
1.445, 64.48, 22, 1 3 4
1.321, 71.39, 30, 4 0 4
1.306, 72.39, 25, 8 0 -1
1.140, 85.13, 24, 8 0 2

No. 7
Theoretical PXRD pattern
Compound: Sc
Radiation: copper Kα
Structure: the PBE geometry in OQMD
No peak broadening, texture or thermal motion is included.

Atomic structure:
Cell lengths 3.1456, 5.8349, 5.1284 Å; angles 90.00, 90.00, 90.00 degrees
Space group Cmcm (No. 63)
Unique sites:
Sc: 0.0000 0.1579 0.2500 x4

Peak list (12 most intense, 15° ≤ 2θ ≤ 90°, by angle)
d/Å, two_theta, intensity, (hkl)
2.917, 30.64, 10, 0 2 0
2.769, 32.33, 31, 1 1 0
2.564, 34.99, 42, 0 0 2
2.536, 35.40, 68, 0 2 1
2.436, 36.89, 100, 1 1 1
1.881, 48.38, 18, 1 1 2
1.654, 55.55, 19, 1 3 0
1.475, 63.03, 11, 0 2 3
1.455, 64.01, 17, 1 1 3
1.390, 67.36, 20, 1 3 2
1.341, 70.20, 9, 2 0 2
1.337, 70.45, 15, 2 2 1

No. 8
Theoretical PXRD pattern
Compound: Co2Ge2Au
Radiation: copper Kα
Structure: the PBE geometry in OQMD
No peak broadening, texture or thermal motion is included.

Atomic structure:
Cell lengths 5.2857, 3.9428, 6.9087 Å; angles 90.00, 90.00, 90.00 degrees
Space group Pmma (No. 51)
Unique sites:
Co: 0.0000 0.0000 0.0000 x2
Co: 0.2500 0.0000 0.3177 x2
Ge: 0.2500 0.0000 0.7054 x2
Ge: 0.2500 0.5000 0.1040 x2
Au: 0.0000 0.5000 0.5000 x2

Peak list (12 most intense, 15° ≤ 2θ ≤ 90°, by angle)
d/Å, two_theta, intensity, (hkl)
3.454, 25.79, 22, 0 0 2
3.424, 26.02, 34, 0 1 1
2.598, 34.52, 47, 0 1 2
2.468, 36.40, 14, 2 0 1
2.195, 41.12, 17, 2 1 0
2.099, 43.10, 45, 2 0 2
2.092, 43.24, 100, 2 1 1
1.989, 45.62, 52, 0 1 3
1.971, 46.04, 35, 0 2 0
1.437, 64.89, 26, 2 2 2
1.160, 83.29, 15, 2 3 1
1.101, 88.93, 15, 4 1 3